Simulated powder diffractogram of Cu2Ag3Pd5 for Cu Kα (λ = 1.5418 Å), from the GGA-PBE geometry in Alexandria.

The 6 most intense peaks (2θ from 10° to 90°), sorted by position:
d/Å	two_theta	intensity
2.430	37.0	100
2.069	43.8	31
2.012	45.1	29
1.867	48.8	36
1.386	67.6	21
1.160	83.3	17

Structural model:
Cell: 8.570 8.570 8.570 Å, 103.86 87.15 144.12°
Positions (direct):
Cu  0.146  0.149  0.295
Cu  0.354  0.649  0.003
Cu  0.646  0.351  0.997
Cu  0.854  0.851  0.705
Ag  0.211  0.876  0.087
Ag  0.250  0.250  0.000
Ag  0.289  0.376  0.665
Ag  0.711  0.624  0.335
Ag  0.750  0.750  0.000
Ag  0.789  0.124  0.913
Pd  0.163  0.608  0.771
Pd  0.250  0.506  0.256
Pd  0.250  0.750  0.500
Pd  0.250  0.994  0.744
Pd  0.337  0.108  0.445
Pd  0.663  0.892  0.555
Pd  0.750  0.006  0.256
Pd  0.750  0.250  0.500
Pd  0.750  0.494  0.744
Pd  0.837  0.392  0.229


Simulated powder diffractogram of Dy2ScB2Rh5 for Cu Kα (λ = 1.5418 Å), from the GGA-PBE geometry in Alexandria.

The 6 most intense peaks (2θ from 10° to 90°), sorted by position:
d/Å	two_theta	intensity
2.576	34.8	100
2.354	38.2	87
2.341	38.5	28
2.215	40.7	73
2.170	41.6	31
2.060	43.9	28

Structural model:
Cell: 9.707 9.707 3.201 Å, 90.00 90.00 90.00°
Positions (direct):
Dy  0.175  0.325  0.000
Dy  0.325  0.825  0.000
Dy  0.675  0.175  0.000
Dy  0.825  0.675  0.000
Sc  0.000  0.000  0.000
Sc  0.500  0.500  0.000
B  0.122  0.622  0.000
B  0.378  0.122  0.000
B  0.622  0.878  0.000
B  0.878  0.378  0.000
Rh  0.000  0.500  0.500
Rh  0.071  0.774  0.500
Rh  0.226  0.071  0.500
Rh  0.274  0.571  0.500
Rh  0.429  0.274  0.500
Rh  0.500  0.000  0.500
Rh  0.571  0.726  0.500
Rh  0.726  0.429  0.500
Rh  0.774  0.929  0.500
Rh  0.929  0.226  0.500


Simulated powder diffractogram of HoSc5Bi4 for Cu Kα (λ = 1.5418 Å), from the GGA-PBE geometry in Alexandria.

The 6 most intense peaks (2θ from 10° to 90°), sorted by position:
d/Å	two_theta	intensity
3.801	23.4	44
3.765	23.6	100
3.203	27.9	50
2.496	36.0	32
2.192	41.2	76
2.137	42.3	34

Structural model:
Cell: 7.115 7.115 5.740 Å, 90.00 90.00 90.96°
Positions (direct):
Ho  0.000  0.000  0.000
Sc  0.000  0.500  0.250
Sc  0.000  0.500  0.750
Sc  0.500  0.000  0.250
Sc  0.500  0.000  0.750
Sc  0.500  0.500  0.500
Bi  0.183  0.183  0.500
Bi  0.327  0.673  0.000
Bi  0.673  0.327  0.000
Bi  0.817  0.817  0.500


Simulated powder diffractogram of Ce4Pb5C for Cu Kα (λ = 1.5418 Å), from the GGA-PBE geometry in Alexandria.

The 6 most intense peaks (2θ from 10° to 90°), sorted by position:
d/Å	two_theta	intensity
2.988	29.9	31
2.863	31.2	66
2.731	32.8	100
2.634	34.0	44
2.571	34.9	41
1.494	62.1	33

Structural model:
Cell: 9.926 9.926 8.285 Å, 98.03 98.03 20.72°
Positions (direct):
Ce  0.051  0.051  0.189
Ce  0.392  0.392  0.140
Ce  0.608  0.608  0.860
Ce  0.949  0.949  0.811
Pb  0.165  0.165  0.545
Pb  0.220  0.220  0.162
Pb  0.500  0.500  0.500
Pb  0.780  0.780  0.838
Pb  0.835  0.835  0.455
C  0.500  0.500  0.000


Copy entry 4 word for word.
Simulated powder diffractogram of Ce4Pb5C for Cu Kα (λ = 1.5418 Å), from the GGA-PBE geometry in Alexandria.

The 6 most intense peaks (2θ from 10° to 90°), sorted by position:
d/Å	two_theta	intensity
2.988	29.9	31
2.863	31.2	66
2.731	32.8	100
2.634	34.0	44
2.571	34.9	41
1.494	62.1	33

Structural model:
Cell: 9.926 9.926 8.285 Å, 98.03 98.03 20.72°
Positions (direct):
Ce  0.051  0.051  0.189
Ce  0.392  0.392  0.140
Ce  0.608  0.608  0.860
Ce  0.949  0.949  0.811
Pb  0.165  0.165  0.545
Pb  0.220  0.220  0.162
Pb  0.500  0.500  0.500
Pb  0.780  0.780  0.838
Pb  0.835  0.835  0.455
C  0.500  0.500  0.000